No. 1
Diffraction record for Tb5PrZn4. The PXRD pattern is computed, not measured: it uses a structure optimized by DFT (PBE) and Cu Kα X-rays.
Peak positions follow from Bragg's law for the DFT cell and can differ from measured ones.

Crystal structure
abc: 3.5913 3.5913 19.5391
angles: 90.00 90.00 90.00
Sites, in units of the cell vectors:
Tb 0.0000 0.0000 0.0000
Tb 0.0000 0.0000 0.1818
Tb 0.0000 0.0000 0.3644
Tb 0.0000 0.0000 0.6356
Tb 0.0000 0.0000 0.8182
Pr 0.5000 0.5000 0.5000
Zn 0.5000 0.5000 0.0922
Zn 0.5000 0.5000 0.2739
Zn 0.5000 0.5000 0.7261
Zn 0.5000 0.5000 0.9078

Largest 8 diffraction maxima, by angle, 2θ = 10–80°:
2theta  Rel. int.
24.8  16
30.9  18
33.9  100
35.3  75
37.3  35
50.8  26
62.5  34
64.0  15



No. 2
Diffraction record for Tb6Pr2Zn. The PXRD pattern is computed, not measured: it uses a structure optimized by DFT (PBE) and Cu Kα X-rays.
Peak positions follow from Bragg's law for the DFT cell and can differ from measured ones.

Crystal structure
abc: 9.8108 10.3020 5.4738
angles: 90.00 90.00 90.00
Sites, in units of the cell vectors:
Tb 0.0124 0.1899 0.0000
Tb 0.1359 0.6015 0.5000
Tb 0.1923 0.9244 0.5000
Tb 0.3077 0.4244 0.0000
Tb 0.3641 0.1015 0.0000
Tb 0.4876 0.6899 0.5000
Tb 0.5124 0.3101 0.5000
Tb 0.6359 0.8985 0.0000
Tb 0.6923 0.5756 0.0000
Tb 0.8077 0.0756 0.5000
Tb 0.8641 0.3985 0.5000
Tb 0.9876 0.8101 0.0000
Pr 0.1857 0.2478 0.5000
Pr 0.3143 0.7478 0.0000
Pr 0.6857 0.2522 0.0000
Pr 0.8143 0.7522 0.5000
Zn 0.0000 0.5000 0.0000
Zn 0.5000 0.0000 0.5000

Largest 8 diffraction maxima, by angle, 2θ = 10–80°:
2theta  Rel. int.
30.7  14
31.9  100
32.1  59
32.7  41
46.3  19
57.1  10
57.9  13
58.0  11



No. 3
Diffraction record for Tb2PrZn5. The PXRD pattern is computed, not measured: it uses a structure optimized by DFT (PBE) and Cu Kα X-rays.
Peak positions follow from Bragg's law for the DFT cell and can differ from measured ones.

Crystal structure
abc: 7.9403 7.9403 7.9403
angles: 143.97 143.97 51.88
Sites, in units of the cell vectors:
Tb 0.2308 0.2308 0.0000
Tb 0.7692 0.7692 0.0000
Pr 0.5000 0.5000 0.0000
Zn 0.0000 0.0000 0.0000
Zn 0.1194 0.6194 0.5000
Zn 0.3806 0.8806 0.5000
Zn 0.6194 0.1194 0.5000
Zn 0.8806 0.3806 0.5000

Largest 8 diffraction maxima, by angle, 2θ = 10–80°:
2theta  Rel. int.
25.6  12
26.1  13
36.1  100
36.6  53
52.7  18
64.5  13
65.5  34
76.5  8



No. 4
Diffraction record for Pr3Tc. The PXRD pattern is computed, not measured: it uses a structure optimized by DFT (PBE) and Cu Kα X-rays.
Peak positions follow from Bragg's law for the DFT cell and can differ from measured ones.

Crystal structure
abc: 6.5222 6.5222 6.5222
angles: 146.68 63.11 128.07
Sites, in units of the cell vectors:
Pr 0.0000 0.0000 0.0000
Pr 0.3044 0.5014 0.8030
Pr 0.6985 0.5014 0.1970
Tc 0.4399 0.9399 0.5000

Largest 8 diffraction maxima, by angle, 2θ = 10–80°:
2theta  Rel. int.
28.7  28
31.3  34
32.2  12
32.8  100
56.7  17
58.1  12
59.0  11
74.8  11



No. 5
Diffraction record for Pr2Tm7Tc2. The PXRD pattern is computed, not measured: it uses a structure optimized by DFT (PBE) and Cu Kα X-rays.
Peak positions follow from Bragg's law for the DFT cell and can differ from measured ones.

Crystal structure
abc: 10.9241 10.9241 10.9241
angles: 161.43 53.93 129.85
Sites, in units of the cell vectors:
Pr 0.2436 0.0000 0.2436
Pr 0.7564 0.0000 0.7564
Tm 0.0637 0.4838 0.5798
Tm 0.1967 0.3068 0.8900
Tm 0.4168 0.3068 0.1100
Tm 0.5390 0.0390 0.5000
Tm 0.5605 0.6942 0.8663
Tm 0.8278 0.6942 0.1337
Tm 0.9040 0.4838 0.4202
Tc 0.2357 0.7357 0.5000
Tc 0.7827 0.7827 0.0000

Largest 8 diffraction maxima, by angle, 2θ = 10–80°:
2theta  Rel. int.
26.6  43
28.8  44
32.2  95
32.8  100
33.7  63
37.2  36
38.9  46
54.6  43



No. 6
Diffraction record for PrYTc. The PXRD pattern is computed, not measured: it uses a structure optimized by DFT (PBE) and Cu Kα X-rays.
Peak positions follow from Bragg's law for the DFT cell and can differ from measured ones.

Crystal structure
abc: 7.1746 7.1746 7.6914
angles: 90.00 90.00 120.70
Sites, in units of the cell vectors:
Pr 0.1979 0.8021 0.8869
Pr 0.3021 0.6979 0.3869
Pr 0.6979 0.3021 0.6131
Pr 0.8021 0.1979 0.1131
Y 0.2091 0.2909 0.7500
Y 0.2909 0.2091 0.2500
Y 0.7091 0.7909 0.7500
Y 0.7909 0.7091 0.2500
Tc 0.0960 0.9040 0.5358
Tc 0.4040 0.5960 0.0358
Tc 0.5960 0.4040 0.9642
Tc 0.9040 0.0960 0.4642

Largest 8 diffraction maxima, by angle, 2θ = 10–80°:
2theta  Rel. int.
27.3  91
28.9  70
31.0  56
31.2  70
34.2  54
34.4  75
38.0  65
40.1  100



No. 7
Diffraction record for Pr2Te3. The PXRD pattern is computed, not measured: it uses a structure optimized by DFT (PBE) and Cu Kα X-rays.
Peak positions follow from Bragg's law for the DFT cell and can differ from measured ones.

Crystal structure
abc: 15.9389 15.9389 15.9389
angles: 145.02 145.02 50.31
Sites, in units of the cell vectors:
Pr 0.0465 0.1610 0.6267
Pr 0.1676 0.1676 0.0000
Pr 0.1699 0.7843 0.8733
Pr 0.2157 0.0890 0.3855
Pr 0.2556 0.6250 0.1306
Pr 0.3750 0.5056 0.6306
Pr 0.4944 0.1250 0.8694
Pr 0.5343 0.4199 0.3733
Pr 0.5801 0.9535 0.1145
Pr 0.5824 0.0824 0.5000
Pr 0.7035 0.8301 0.6145
Pr 0.8324 0.8324 0.0000
Pr 0.8390 0.4657 0.8855
Pr 0.8750 0.7444 0.3694
Pr 0.9110 0.2965 0.1267
Pr 0.9176 0.4176 0.5000
Te 0.0071 0.7598 0.9022
Te 0.0723 0.4703 0.2475
Te 0.1752 0.9277 0.3980
Te 0.1849 0.4402 0.0940
Te 0.1902 0.4349 0.5940
Te 0.2203 0.3223 0.7475
Te 0.2228 0.8248 0.7525
Te 0.2402 0.1423 0.2473
Te 0.3461 0.0908 0.9060
Te 0.4039 0.8098 0.2447
Te 0.5098 0.2571 0.4022
Te 0.5272 0.7797 0.1020
Te 0.5297 0.7772 0.6020
Te 0.5598 0.6539 0.7447
Te 0.5651 0.1592 0.7553
Te 0.5748 0.4728 0.2525
Te 0.6777 0.4252 0.8980
Te 0.7429 0.1451 0.2527
Te 0.8408 0.5961 0.4060
Te 0.8549 0.1077 0.5978
Te 0.8577 0.1049 0.0978
Te 0.8923 0.4902 0.7473
Te 0.8951 0.9929 0.7527
Te 0.9092 0.8151 0.2553

Largest 8 diffraction maxima, by angle, 2θ = 10–80°:
2theta  Rel. int.
29.4  86
29.5  51
35.0  100
44.3  14
46.4  23
48.4  16
59.4  25
62.7  15



No. 8
Diffraction record for Pr2Te3. The PXRD pattern is computed, not measured: it uses a structure optimized by DFT (PBE) and Cu Kα X-rays.
Peak positions follow from Bragg's law for the DFT cell and can differ from measured ones.

Crystal structure
abc: 8.2038 8.2038 8.2038
angles: 112.15 85.22 134.93
Sites, in units of the cell vectors:
Pr 0.1172 0.2246 0.3419
Pr 0.3828 0.7246 0.1074
Pr 0.6172 0.2754 0.8926
Pr 0.8828 0.7754 0.6581
Te 0.1428 0.8678 0.0106
Te 0.2500 0.7500 0.5000
Te 0.3572 0.3678 0.7249
Te 0.6428 0.6322 0.2751
Te 0.7500 0.2500 0.5000
Te 0.8572 0.1322 0.9894

Largest 8 diffraction maxima, by angle, 2θ = 10–80°:
2theta  Rel. int.
24.2  81
28.4  49
30.2  60
31.0  65
34.6  61
35.6  54
35.9  100
41.5  83



No. 9
Diffraction record for Pr3Te4. The PXRD pattern is computed, not measured: it uses a structure optimized by DFT (PBE) and Cu Kα X-rays.
Peak positions follow from Bragg's law for the DFT cell and can differ from measured ones.

Crystal structure
abc: 8.3146 8.3146 8.3146
angles: 109.47 109.47 109.47
Sites, in units of the cell vectors:
Pr 0.1250 0.7500 0.8750
Pr 0.2500 0.6250 0.3750
Pr 0.3750 0.2500 0.6250
Pr 0.6250 0.3750 0.2500
Pr 0.7500 0.8750 0.1250
Pr 0.8750 0.1250 0.7500
Te 0.0000 0.3491 0.5000
Te 0.0000 0.8491 0.5000
Te 0.1509 0.1509 0.1509
Te 0.3491 0.5000 0.0000
Te 0.5000 0.0000 0.3491
Te 0.5000 0.0000 0.8491
Te 0.6509 0.6509 0.6509
Te 0.8491 0.5000 0.0000

Largest 8 diffraction maxima, by angle, 2θ = 10–80°:
2theta  Rel. int.
29.4  100
35.0  71
42.1  16
46.3  16
48.3  17
59.3  29
62.7  15
72.3  16



No. 10
Diffraction record for Pr2ThTe3. The PXRD pattern is computed, not measured: it uses a structure optimized by DFT (PBE) and Cu Kα X-rays.
Peak positions follow from Bragg's law for the DFT cell and can differ from measured ones.

Crystal structure
abc: 7.7916 7.7916 7.7916
angles: 146.20 131.71 60.24
Sites, in units of the cell vectors:
Pr 0.1714 0.1714 0.0000
Pr 0.8286 0.8286 0.0000
Th 0.5000 0.5000 0.0000
Te 0.0000 0.5000 0.5000
Te 0.3365 0.8365 0.5000
Te 0.6635 0.1635 0.5000

Largest 8 diffraction maxima, by angle, 2θ = 10–80°:
2theta  Rel. int.
28.0  100
39.8  13
40.0  51
49.4  15
49.6  14
57.8  13
65.5  24
72.8  13



No. 11
Diffraction record for PrTh3Te4. The PXRD pattern is computed, not measured: it uses a structure optimized by DFT (PBE) and Cu Kα X-rays.
Peak positions follow from Bragg's law for the DFT cell and can differ from measured ones.

Crystal structure
abc: 7.7016 7.7016 4.5827
angles: 90.00 90.00 110.63
Sites, in units of the cell vectors:
Pr 0.0000 0.0000 0.0000
Th 0.0000 0.5000 0.5000
Th 0.5000 0.0000 0.5000
Th 0.5000 0.5000 0.0000
Te 0.2505 0.2505 0.5000
Te 0.2500 0.7500 0.0000
Te 0.7500 0.2500 0.0000
Te 0.7495 0.7495 0.5000

Largest 8 diffraction maxima, by angle, 2θ = 10–80°:
2theta  Rel. int.
28.2  100
39.3  14
40.3  52
41.2  12
49.1  15
50.7  13
58.3  13
66.0  24



No. 12
Diffraction record for Pr5ThTe6. The PXRD pattern is computed, not measured: it uses a structure optimized by DFT (PBE) and Cu Kα X-rays.
Peak positions follow from Bragg's law for the DFT cell and can differ from measured ones.

Crystal structure
abc: 7.8308 7.8308 7.8473
angles: 99.60 99.60 120.19
Sites, in units of the cell vectors:
Pr 0.0000 0.0000 0.0000
Pr 0.1668 0.8332 0.5000
Pr 0.3281 0.6719 0.0000
Pr 0.6719 0.3281 0.0000
Pr 0.8332 0.1668 0.5000
Th 0.5000 0.5000 0.5000
Te 0.0878 0.4175 0.2526
Te 0.2545 0.2545 0.7520
Te 0.4175 0.0878 0.2526
Te 0.5825 0.9122 0.7474
Te 0.7455 0.7455 0.2480
Te 0.9122 0.5825 0.7474

Largest 8 diffraction maxima, by angle, 2θ = 10–80°:
2theta  Rel. int.
27.9  100
39.8  39
39.9  38
49.3  14
57.7  13
65.2  18
65.4  18
72.3  11